Entry 1:
For Tb6Ce2Dy3, DFT lattice parameters and positions (PBE) gives the theoretical PXRD pattern in this record (Cu Ka).

Cell and atoms:
Cell lengths 3.5356, 3.5356, 95.3627 Å; angles 90.00, 90.00, 120.00 degrees
Space group R-3m (No. 166, hexagonal axes)
One atom of each set of equivalent atoms:
Tb 0.0000 0.0000 0.0913 x6
Tb 0.0000 0.0000 0.1822 x6
Tb 0.0000 0.0000 0.3637 x6
Ce 0.0000 0.0000 0.4546 x6
Dy 0.0000 0.0000 0.0000 x3
Dy 0.0000 0.0000 0.2727 x6

Principal peaks in the range 2θ from 15° to 90°, by angle:
| 2theta | I_rel |
| --- | --- |
| 30.97 | 100.0 |
| 35.91 | 50.5 |
| 51.69 | 35.9 |
| 61.49 | 42.5 |
| 84.42 | 17.7 |
| 87.15 | 16.5 |

Entry 2:
For Tb2CeDy5, DFT lattice parameters and positions (PBE) gives the theoretical PXRD pattern in this record (Cu Ka).

Cell and atoms:
Cell lengths 7.0937, 14.1892, 5.0112 Å; angles 90.00, 90.00, 90.00 degrees
Space group Pbam (No. 55)
One atom of each set of equivalent atoms:
Tb 0.2465 0.1238 0.0000 x4
Ce 0.0000 0.0000 0.5000 x2
Dy 0.0000 0.5000 0.5000 x2
Dy 0.0007 0.2500 0.5000 x4
Dy 0.2456 0.8761 0.0000 x4

Principal peaks in the range 2θ from 15° to 90°, by angle:
| 2theta | I_rel |
| --- | --- |
| 30.89 | 100.0 |
| 35.81 | 50.6 |
| 51.55 | 35.9 |
| 61.31 | 42.6 |
| 84.15 | 17.7 |
| 86.87 | 16.6 |

Entry 3:
For Tb8CeDy4, DFT lattice parameters and positions (PBE) gives the theoretical PXRD pattern in this record (Cu Ka).

Cell and atoms:
Cell lengths 10.9558, 10.9558, 13.4350 Å; angles 90.00, 90.00, 120.00 degrees
Space group R-3m (No. 166, hexagonal axes)
One atom of each set of equivalent atoms:
Tb 0.0000 0.0000 0.2417 x6
Tb 0.0112 0.5056 0.7474 x18
Ce 0.0000 0.0000 0.5000 x3
Dy 0.0000 0.0000 0.0000 x3
Dy 0.0000 0.5000 0.0000 x9

Principal peaks in the range 2θ from 15° to 90°, by angle:
| 2theta | I_rel |
| --- | --- |
| 19.84 | 14.1 |
| 32.68 | 100.0 |
| 46.89 | 18.1 |
| 58.33 | 37.4 |
| 68.48 | 11.4 |
| 77.97 | 15.6 |

Entry 4:
For Tb2CeDy7, DFT lattice parameters and positions (PBE) gives the theoretical PXRD pattern in this record (Cu Ka).

Cell and atoms:
Cell lengths 3.5368, 9.3726, 10.0425 Å; angles 74.45, 89.99, 79.20 degrees
Space group P-1 (No. 2)
One atom of each set of equivalent atoms:
Tb 0.1995 0.1018 0.1007 x2
Ce 0.0000 0.5000 0.0000 x1
Dy 0.0000 0.5000 0.5000 x1
Dy 0.1990 0.1021 0.5987 x2
Dy 0.4002 0.6991 0.7020 x2
Dy 0.3996 0.6997 0.1983 x2

Principal peaks in the range 2θ from 15° to 90°, by angle:
| 2theta | I_rel |
| --- | --- |
| 30.91 | 100.0 |
| 35.81 | 33.8 |
| 35.90 | 16.8 |
| 51.57 | 30.0 |
| 61.28 | 17.8 |
| 61.40 | 17.7 |

Entry 5:
For Tb4CeDy3, DFT lattice parameters and positions (PBE) gives the theoretical PXRD pattern in this record (Cu Ka).

Cell and atoms:
Cell lengths 5.0289, 10.0262, 10.0403 Å; angles 90.00, 90.00, 90.00 degrees
Space group Pmmn (No. 59, origin choice 2)
One atom of each set of equivalent atoms:
Tb 0.2500 0.0011 0.1262 x4
Tb 0.2500 0.2500 0.8751 x2
Tb 0.2500 0.7500 0.8734 x2
Ce 0.2500 0.2500 0.3747 x2
Dy 0.2500 0.5010 0.6237 x4
Dy 0.2500 0.7500 0.3770 x2

Principal peaks in the range 2θ from 15° to 90°, by angle:
| 2theta | I_rel |
| --- | --- |
| 30.85 | 100.0 |
| 35.74 | 33.8 |
| 35.82 | 16.8 |
| 51.48 | 36.0 |
| 61.19 | 28.5 |
| 61.30 | 14.2 |

Entry 6:
For Tb6CeDy2Tm3, DFT lattice parameters and positions (PBE) gives the theoretical PXRD pattern in this record (Cu Ka).

Cell and atoms:
Cell lengths 6.1313, 10.6162, 11.7215 Å; angles 90.00, 100.04, 90.00 degrees
Space group C2/m (No. 12)
One atom of each set of equivalent atoms:
Tb 0.2476 0.0000 0.2484 x4
Tb 0.2496 0.1657 0.7513 x8
Ce 0.0000 0.0000 0.5000 x2
Dy 0.0000 0.3334 0.5000 x4
Tm 0.0000 0.1673 0.0000 x4
Tm 0.0000 0.5000 0.0000 x2

Principal peaks in the range 2θ from 15° to 90°, by angle:
| 2theta | I_rel |
| --- | --- |
| 30.96 | 100.0 |
| 35.90 | 50.6 |
| 51.68 | 36.0 |
| 61.47 | 42.7 |
| 64.50 | 9.2 |
| 87.11 | 13.9 |

Entry 7:
For TbCeDyY2, DFT lattice parameters and positions (PBE) gives the theoretical PXRD pattern in this record (Cu Ka).

Cell and atoms:
Cell lengths 8.2015, 6.7299, 5.9072 Å; angles 90.00, 90.11, 90.00 degrees
Space group P2/c (No. 13)
One atom of each set of equivalent atoms:
Tb 0.0000 0.0837 0.2500 x2
Ce 0.0000 0.5000 0.0000 x2
Dy 0.5000 0.3347 0.2500 x2
Y 0.3030 0.1901 0.7494 x4

Principal peaks in the range 2θ from 15° to 90°, by angle:
| 2theta | I_rel |
| --- | --- |
| 21.67 | 43.1 |
| 28.68 | 51.0 |
| 29.66 | 100.0 |
| 32.51 | 64.4 |
| 34.93 | 59.2 |
| 47.28 | 38.3 |

Entry 8:
For Ce2DyTe4, DFT lattice parameters and positions (PBE) gives the theoretical PXRD pattern in this record (Cu Ka).

Cell and atoms:
Cell lengths 8.8506, 8.8987, 12.3913 Å; angles 90.00, 90.00, 90.00 degrees
Space group Imma (No. 74)
One atom of each set of equivalent atoms:
Ce 0.0000 0.0000 0.0000 x4
Ce 0.2500 0.2500 0.2500 x4
Dy 0.2500 0.2500 0.7500 x4
Te 0.0000 0.0071 0.7402 x8
Te 0.2445 0.2500 0.5036 x8

Principal peaks in the range 2θ from 15° to 90°, by angle:
| 2theta | I_rel |
| --- | --- |
| 28.45 | 100.0 |
| 28.82 | 47.6 |
| 40.94 | 73.3 |
| 50.51 | 19.8 |
| 50.70 | 19.7 |
| 66.84 | 25.5 |

Entry 9:
For CeDy4Te5, DFT lattice parameters and positions (PBE) gives the theoretical PXRD pattern in this record (Cu Ka).

Cell and atoms:
Cell lengths 4.3690, 4.3690, 31.1533 Å; angles 90.00, 90.00, 90.00 degrees
Space group I4/mmm (No. 139)
One atom of each set of equivalent atoms:
Ce 0.0000 0.0000 0.0000 x2
Dy 0.0000 0.0000 0.2059 x4
Dy 0.0000 0.0000 0.4040 x4
Te 0.0000 0.0000 0.1041 x4
Te 0.0000 0.0000 0.3039 x4
Te 0.0000 0.0000 0.5000 x2

Principal peaks in the range 2θ from 15° to 90°, by angle:
| 2theta | I_rel |
| --- | --- |
| 28.65 | 47.7 |
| 28.90 | 100.0 |
| 41.15 | 71.8 |
| 41.33 | 38.0 |
| 51.06 | 38.4 |
| 75.24 | 24.1 |

Entry 10:
For CeDyTe6, DFT lattice parameters and positions (PBE) gives the theoretical PXRD pattern in this record (Cu Ka).

Cell and atoms:
Cell lengths 4.3847, 4.3836, 26.7521 Å; angles 90.00, 90.00, 90.00 degrees
Space group Amm2 (No. 38)
One atom of each set of equivalent atoms:
Ce 0.0000 0.0000 0.0000 x2
Dy 0.5000 0.0000 0.6569 x2
Te 0.0000 0.0000 0.1219 x2
Te 0.0000 0.0000 0.4082 x2
Te 0.0000 0.0000 0.7486 x2
Te 0.5000 0.0000 0.2485 x2
Te 0.5000 0.0000 0.5358 x2
Te 0.5000 0.0000 0.9082 x2

Principal peaks in the range 2θ from 15° to 90°, by angle:
| 2theta | I_rel |
| --- | --- |
| 26.66 | 32.7 |
| 30.53 | 100.0 |
| 33.41 | 40.5 |
| 37.35 | 35.6 |
| 41.18 | 49.9 |
| 49.73 | 23.5 |

Entry 11:
For Ce2DyTe5, DFT lattice parameters and positions (PBE) gives the theoretical PXRD pattern in this record (Cu Ka).

Cell and atoms:
Cell lengths 7.4920, 7.4920, 5.3707 Å; angles 90.00, 90.00, 90.00 degrees
Space group P4/mmm (No. 123)
One atom of each set of equivalent atoms:
Ce 0.0000 0.5000 0.0000 x2
Dy 0.0000 0.0000 0.5000 x1
Te 0.0000 0.0000 0.0000 x1
Te 0.2799 0.2799 0.5000 x4

Principal peaks in the range 2θ from 15° to 90°, by angle:
| 2theta | I_rel |
| --- | --- |
| 23.59 | 37.4 |
| 26.60 | 34.6 |
| 29.06 | 100.0 |
| 33.37 | 39.2 |
| 33.84 | 66.2 |
| 48.26 | 48.6 |

Entry 12:
For CeDy5Te6, DFT lattice parameters and positions (PBE) gives the theoretical PXRD pattern in this record (Cu Ka).

Cell and atoms:
Cell lengths 7.5429, 13.1414, 7.6085 Å; angles 90.00, 109.54, 90.00 degrees
Space group C2/m (No. 12)
One atom of each set of equivalent atoms:
Ce 0.0000 0.0000 0.0000 x2
Dy 0.0000 0.1631 0.5000 x4
Dy 0.0000 0.3315 0.0000 x4
Dy 0.0000 0.5000 0.5000 x2
Te 0.2424 0.5000 0.2502 x4
Te 0.2447 0.3302 0.7447 x8

Principal peaks in the range 2θ from 15° to 90°, by angle:
| 2theta | I_rel |
| --- | --- |
| 28.86 | 100.0 |
| 41.16 | 38.2 |
| 41.38 | 37.6 |
| 51.09 | 13.5 |
| 59.78 | 12.6 |
| 67.52 | 11.7 |

Entry 13:
For Ce2Dy2Te5, DFT lattice parameters and positions (PBE) gives the theoretical PXRD pattern in this record (Cu Ka).

Cell and atoms:
Cell lengths 15.8993, 8.3267, 8.3038 Å; angles 90.00, 90.00, 90.00 degrees
Space group Cmce (No. 64)
One atom of each set of equivalent atoms:
Ce 0.1966 0.0000 0.0000 x8
Dy 0.0000 0.1461 0.3510 x8
Te 0.0000 0.0000 0.0000 x4
Te 0.1351 0.1584 0.6546 x16

Principal peaks in the range 2θ from 15° to 90°, by angle:
| 2theta | I_rel |
| --- | --- |
| 29.36 | 74.5 |
| 30.40 | 26.9 |
| 32.97 | 64.4 |
| 34.57 | 100.0 |
| 44.72 | 31.3 |
| 62.60 | 34.5 |